No. 1
Computed powder diffractogram
Compound: CeThPaAu
Radiation: λ = 1.5418 Å (Cu Kα)
Structure: DFT lattice parameters and positions (GGA-PBE)
Lines closer than 0.1° are merged.

Structural model:
Cell: 7.419 7.419 7.419 Å, 90.00 90.00 90.00°
Space group F-43m (No. 216)
Asymmetric unit:
Ce 0.000 0.000 0.000 (multiplicity 4)
Th 0.000 0.000 0.500 (multiplicity 4)
Pa 0.250 0.250 0.250 (multiplicity 4)
Au 0.250 0.250 0.750 (multiplicity 4)

The 11 most intense peaks (10 to 90 degrees two-theta), sorted by position:
(hkl), 2θ (°), I_rel
1 1 1, 20.74, 3
2 0 0, 23.99, 1
2 2 0, 34.18, 100
3 1 1, 40.32, 2
4 0 0, 49.12, 18
3 3 1, 53.86, 1
4 2 2, 61.20, 38
5 1 1, 65.36, 1
4 4 0, 72.00, 12
5 3 1, 75.86, 1
6 2 0, 82.17, 17

---

No. 2
Computed powder diffractogram
Compound: Ce6PbAu3
Radiation: λ = 1.5418 Å (Cu Kα)
Structure: DFT lattice parameters and positions (GGA-PBE)
Lines closer than 0.1° are merged.

Structural model:
Cell: 5.751 8.704 11.796 Å, 90.00 116.96 90.00°
Space group P2_1/c (No. 14)
Asymmetric unit:
Ce 0.078 0.158 0.086 (multiplicity 4)
Ce 0.393 0.136 0.412 (multiplicity 4)
Ce 0.407 0.746 0.749 (multiplicity 4)
Pb 0.500 0.000 0.000 (multiplicity 2)
Au 0.000 0.000 0.500 (multiplicity 2)
Au 0.055 0.086 0.751 (multiplicity 4)

The 12 most intense peaks (10 to 90 degrees two-theta), sorted by position:
(hkl), 2θ (°), I_rel
0 2 2, 26.59, 31
1 2 -2, 27.25, 36
2 0 -2, 31.14, 59
1 1 -4, 32.11, 30
0 2 3, 32.81, 100
0 0 4, 34.11, 26
1 3 -1, 34.63, 72
2 0 0, 35.01, 45
2 0 -4, 36.20, 48
1 1 3, 38.51, 59
1 3 -3, 39.03, 26
1 1 -5, 39.62, 28

---

No. 3
Computed powder diffractogram
Compound: Ce6Pb3Au
Radiation: λ = 1.5418 Å (Cu Kα)
Structure: DFT lattice parameters and positions (GGA-PBE)
Lines closer than 0.1° are merged.

Structural model:
Cell: 5.969 8.740 12.217 Å, 90.00 117.32 90.00°
Space group P2_1/c (No. 14)
Asymmetric unit:
Ce 0.037 0.055 0.242 (multiplicity 4)
Ce 0.071 0.647 0.063 (multiplicity 4)
Ce 0.454 0.636 0.437 (multiplicity 4)
Pb 0.415 0.146 0.748 (multiplicity 4)
Pb 0.500 0.000 0.500 (multiplicity 2)
Au 0.000 0.000 0.000 (multiplicity 2)

The 12 most intense peaks (10 to 90 degrees two-theta), sorted by position:
(hkl), 2θ (°), I_rel
1 2 -1, 25.26, 38
1 2 1, 29.95, 47
1 1 2, 30.24, 37
1 2 -3, 30.51, 32
1 1 -4, 31.07, 36
0 2 3, 32.12, 50
0 0 4, 33.01, 63
2 0 0, 33.81, 65
1 3 -1, 34.25, 100
2 0 -4, 34.80, 55
1 3 -3, 38.36, 26
3 3 -1, 58.24, 27

---

No. 4
Computed powder diffractogram
Compound: CePd6Au2
Radiation: λ = 1.5418 Å (Cu Kα)
Structure: DFT lattice parameters and positions (GGA-PBE)
Lines closer than 0.1° are merged.

Structural model:
Cell: 12.516 5.248 5.265 Å, 90.00 108.52 90.00°
Space group C2 (No. 5)
Asymmetric unit:
Ce 0.000 0.000 0.000 (multiplicity 2)
Pd 0.000 0.499 0.000 (multiplicity 2)
Pd 0.000 0.718 0.500 (multiplicity 2)
Pd 0.103 0.226 0.685 (multiplicity 4)
Pd 0.199 0.738 0.904 (multiplicity 4)
Au 0.204 0.556 0.408 (multiplicity 4)

The 12 most intense peaks (10 to 90 degrees two-theta), sorted by position:
(hkl), 2θ (°), I_rel
2 0 1, 26.74, 19
1 1 1, 27.38, 27
3 1 0, 28.25, 20
4 0 0, 30.12, 14
3 1 1, 37.35, 24
4 0 -2, 39.09, 62
2 2 -1, 39.52, 100
5 1 0, 41.77, 46
1 1 2, 42.93, 42
3 3 1, 63.27, 18
6 2 -3, 71.11, 17
8 2 1, 82.10, 14

---

No. 5
Computed powder diffractogram
Compound: CePd4Au8
Radiation: λ = 1.5418 Å (Cu Kα)
Structure: DFT lattice parameters and positions (GGA-PBE)
Lines closer than 0.1° are merged.

Structural model:
Cell: 9.305 9.305 5.644 Å, 90.00 90.00 90.00°
Space group I4/mmm (No. 139)
Asymmetric unit:
Ce 0.000 0.000 0.000 (multiplicity 2)
Pd 0.250 0.250 0.250 (multiplicity 8)
Au 0.000 0.217 0.500 (multiplicity 8)
Au 0.000 0.338 0.000 (multiplicity 8)

The 12 most intense peaks (10 to 90 degrees two-theta), sorted by position:
(hkl), 2θ (°), I_rel
0 0 2, 31.71, 38
3 0 1, 32.95, 48
2 0 2, 37.26, 41
3 2 1, 38.35, 100
4 0 0, 38.71, 52
2 2 2, 42.19, 80
4 1 1, 43.17, 35
4 2 0, 43.49, 25
3 2 3, 60.94, 26
6 0 2, 69.11, 26
6 3 1, 69.82, 32
6 3 3, 87.34, 19

---

No. 6
Computed powder diffractogram
Compound: Ce3Pd2Au4
Radiation: λ = 1.5418 Å (Cu Kα)
Structure: DFT lattice parameters and positions (GGA-PBE)
Lines closer than 0.1° are merged.

Structural model:
Cell: 8.360 14.050 6.787 Å, 90.00 90.00 90.00°
Space group Cccm (No. 66)
Asymmetric unit:
Ce 0.000 0.000 0.250 (multiplicity 4)
Ce 0.000 0.326 0.250 (multiplicity 8)
Pd 0.154 0.172 0.000 (multiplicity 8)
Au 0.165 0.491 0.000 (multiplicity 8)
Au 0.173 0.163 0.500 (multiplicity 8)

The 12 most intense peaks (10 to 90 degrees two-theta), sorted by position:
(hkl), 2θ (°), I_rel
0 0 2, 26.26, 20
2 0 2, 34.03, 50
1 3 2, 34.35, 100
3 3 0, 37.56, 92
0 6 0, 38.44, 42
3 3 2, 46.41, 17
4 0 2, 51.34, 17
2 6 2, 52.27, 28
0 0 4, 54.04, 17
4 6 2, 65.93, 15
3 3 4, 67.67, 33
0 6 4, 68.26, 16

---

No. 7
Computed powder diffractogram
Compound: CePd4Au3
Radiation: λ = 1.5418 Å (Cu Kα)
Structure: DFT lattice parameters and positions (GGA-PBE)
Lines closer than 0.1° are merged.

Structural model:
Cell: 10.064 4.904 6.225 Å, 90.00 110.52 90.00°
Space group C2 (No. 5)
Asymmetric unit:
Ce 0.000 0.000 0.000 (multiplicity 2)
Pd 0.011 0.546 0.736 (multiplicity 4)
Pd 0.245 0.914 0.381 (multiplicity 4)
Au 0.000 0.048 0.500 (multiplicity 2)
Au 0.236 0.427 0.138 (multiplicity 4)

The 12 most intense peaks (10 to 90 degrees two-theta), sorted by position:
(hkl), 2θ (°), I_rel
1 1 -2, 34.14, 20
0 2 0, 36.65, 39
4 0 0, 38.20, 60
3 1 -2, 38.62, 97
1 1 2, 39.91, 100
2 2 0, 41.51, 42
4 2 0, 53.97, 24
2 0 -4, 59.45, 15
1 3 -2, 64.38, 19
7 1 -2, 68.45, 17
5 1 2, 71.06, 17
2 4 0, 81.03, 12

---

No. 8
Computed powder diffractogram
Compound: Ce2Pd6Au
Radiation: λ = 1.5418 Å (Cu Kα)
Structure: DFT lattice parameters and positions (GGA-PBE)
Lines closer than 0.1° are merged.

Structural model:
Cell: 5.668 4.175 7.477 Å, 90.00 98.82 90.00°
Space group Pm (No. 6)
Asymmetric unit:
Ce 0.000 0.000 0.000 (multiplicity 1)
Ce 0.386 0.000 0.502 (multiplicity 1)
Pd 0.198 0.500 0.747 (multiplicity 1)
Pd 0.349 0.500 0.131 (multiplicity 1)
Pd 0.475 0.000 0.900 (multiplicity 1)
Pd 0.660 0.000 0.253 (multiplicity 1)
Pd 0.701 0.500 0.756 (multiplicity 1)
Pd 0.914 0.000 0.597 (multiplicity 1)
Au 0.988 0.500 0.352 (multiplicity 1)

The 12 most intense peaks (10 to 90 degrees two-theta), sorted by position:
(hkl), 2θ (°), I_rel
1 1 1, 30.31, 41
0 1 2, 32.36, 49
1 0 -3, 37.57, 34
1 1 2, 37.89, 54
2 1 -1, 39.10, 100
0 1 3, 42.62, 37
0 2 0, 43.33, 60
2 0 2, 43.44, 27
1 2 -3, 58.68, 19
2 2 2, 63.04, 17
0 1 5, 67.24, 13
2 3 -1, 76.67, 14

---

No. 9
Computed powder diffractogram
Compound: Ce2Pd7Au3
Radiation: λ = 1.5418 Å (Cu Kα)
Structure: DFT lattice parameters and positions (GGA-PBE)
Lines closer than 0.1° are merged.

Structural model:
Cell: 4.872 5.424 9.240 Å, 85.41 84.82 67.62°
Space group P-1 (No. 2)
Asymmetric unit:
Ce 0.080 0.302 0.223 (multiplicity 2)
Pd 0.001 0.869 0.135 (multiplicity 2)
Pd 0.454 0.275 0.723 (multiplicity 2)
Pd 0.480 0.769 0.587 (multiplicity 2)
Pd 0.500 0.000 0.000 (multiplicity 1)
Au 0.017 0.749 0.435 (multiplicity 2)
Au 0.500 0.500 0.000 (multiplicity 1)

The 12 most intense peaks (10 to 90 degrees two-theta), sorted by position:
(hkl), 2θ (°), I_rel
1 1 -2, 30.16, 30
1 1 3, 34.33, 100
0 2 0, 35.85, 27
1 0 -3, 36.55, 37
0 2 1, 36.72, 52
1 1 -3, 38.00, 40
2 0 0, 40.12, 91
1 2 -2, 40.76, 31
1 1 4, 42.80, 29
2 2 1, 42.89, 57
1 -1 3, 43.03, 35
-1 1 3, 43.62, 37

---

No. 10
Computed powder diffractogram
Compound: CePd3Au2
Radiation: λ = 1.5418 Å (Cu Kα)
Structure: DFT lattice parameters and positions (GGA-PBE)
Lines closer than 0.1° are merged.

Structural model:
Cell: 5.3140 5.3140 27.1133 Å, 90.00 90.00 120.00°
Space group R-3c (No. 167, hexagonal axes)
Asymmetric unit:
Ce 0.0000 0.0000 0.0000 (multiplicity 6)
Pd 0.0000 0.3188 0.2500 (multiplicity 18)
Au 0.0000 0.0000 0.1638 (multiplicity 12)

The 12 most intense peaks (10 to 90 degrees two-theta), sorted by position:
(hkl), 2θ (°), I_rel
0 0 6, 19.65, 8
1 1 0, 33.73, 22
1 1 3, 35.21, 22
1 1 6, 39.34, 100
0 0 12, 39.90, 24
1 1 9, 45.52, 10
1 1 12, 53.22, 12
3 0 0, 60.34, 21
1 1 15, 62.11, 4
1 1 18, 72.08, 16
2 2 6, 74.44, 15
3 0 12, 74.81, 22

---

No. 11
Computed powder diffractogram
Compound: Ce3PdAu3
Radiation: λ = 1.5418 Å (Cu Kα)
Structure: DFT lattice parameters and positions (GGA-PBE)
Lines closer than 0.1° are merged.

Structural model:
Cell: 3.791 4.617 19.780 Å, 90.00 90.00 90.00°
Space group Imm2 (No. 44)
Asymmetric unit:
Ce 0.000 0.000 0.000 (multiplicity 2)
Ce 0.000 0.000 0.367 (multiplicity 2)
Ce 0.000 0.500 0.190 (multiplicity 2)
Pd 0.000 0.500 0.756 (multiplicity 2)
Au 0.000 0.000 0.530 (multiplicity 2)
Au 0.000 0.000 0.840 (multiplicity 2)
Au 0.000 0.500 0.621 (multiplicity 2)

The 12 most intense peaks (10 to 90 degrees two-theta), sorted by position:
(hkl), 2θ (°), I_rel
1 0 1, 23.90, 14
0 0 6, 27.07, 25
1 1 2, 31.86, 100
1 0 5, 32.72, 24
1 1 4, 35.62, 30
0 1 7, 37.31, 50
0 2 0, 39.02, 40
1 1 6, 41.22, 52
2 0 0, 48.00, 22
2 1 7, 62.32, 23
2 2 0, 63.50, 19
1 0 13, 66.20, 19

---

No. 12
Computed powder diffractogram
Compound: CePrPdAu
Radiation: λ = 1.5418 Å (Cu Kα)
Structure: DFT lattice parameters and positions (GGA-PBE)
Lines closer than 0.1° are merged.

Structural model:
Cell: 4.657 3.891 11.297 Å, 90.00 90.00 90.00°
Space group Amm2 (No. 38)
Asymmetric unit:
Ce 0.000 0.000 0.000 (multiplicity 2)
Pr 0.500 0.000 0.277 (multiplicity 2)
Pd 0.500 0.000 0.545 (multiplicity 2)
Au 0.000 0.000 0.718 (multiplicity 2)

The 12 most intense peaks (10 to 90 degrees two-theta), sorted by position:
(hkl), 2θ (°), I_rel
1 1 1, 30.98, 100
0 0 4, 31.68, 31
0 1 3, 33.11, 18
1 0 4, 37.23, 26
1 1 3, 38.48, 78
2 0 0, 38.67, 33
0 2 0, 46.69, 19
2 0 4, 50.82, 17
2 2 0, 62.18, 16
0 1 7, 62.28, 13
3 1 3, 69.86, 14
2 1 7, 75.77, 15

---

No. 13
Computed powder diffractogram
Compound: CePmAu2
Radiation: λ = 1.5418 Å (Cu Kα)
Structure: DFT lattice parameters and positions (GGA-PBE)
Lines closer than 0.1° are merged.

Structural model:
Cell: 4.765 3.870 11.319 Å, 90.00 90.00 90.00°
Space group Amm2 (No. 38)
Asymmetric unit:
Ce 0.000 0.000 0.000 (multiplicity 2)
Pm 0.500 0.000 0.276 (multiplicity 2)
Au 0.000 0.000 0.723 (multiplicity 2)
Au 0.500 0.000 0.549 (multiplicity 2)

The 12 most intense peaks (10 to 90 degrees two-theta), sorted by position:
(hkl), 2θ (°), I_rel
1 1 1, 30.79, 100
0 0 4, 31.62, 32
1 0 4, 36.95, 30
2 0 0, 37.76, 38
1 1 3, 38.30, 92
0 2 0, 46.95, 20
2 0 4, 50.05, 18
1 2 4, 61.20, 14
2 2 0, 61.76, 18
0 1 7, 62.22, 13
3 1 3, 68.53, 17
2 1 7, 75.13, 15

---

No. 14
Computed powder diffractogram
Compound: Ce2PmAu
Radiation: λ = 1.5418 Å (Cu Kα)
Structure: DFT lattice parameters and positions (GGA-PBE)
Lines closer than 0.1° are merged.

Structural model:
Cell: 4.323 4.323 5.573 Å, 90.00 90.00 90.00°
Space group P4/mmm (No. 123)
Asymmetric unit:
Ce 0.000 0.500 0.000 (multiplicity 2)
Pm 0.000 0.000 0.500 (multiplicity 1)
Au 0.500 0.500 0.500 (multiplicity 1)

The 12 most intense peaks (10 to 90 degrees two-theta), sorted by position:
(hkl), 2θ (°), I_rel
0 0 1, 15.90, 1
0 0 2, 32.12, 28
1 1 1, 33.44, 100
2 0 0, 41.79, 27
2 0 2, 53.67, 26
1 1 3, 58.11, 21
2 2 0, 60.58, 9
0 0 4, 67.19, 3
2 2 2, 70.24, 12
3 1 1, 71.00, 23
2 0 4, 82.34, 8
3 1 3, 88.88, 13